Simulated X-ray diffraction stick pattern
Compound: CeDy3In3
Radiation: Cu Kα (weighted mean of Kα1 and Kα2)
Structure: the GGA-PBE geometry in Alexandria

Top 6 peaks for 5° ≤ 2θ ≤ 70°, in order of rising 2θ:
29.05 deg, I 23, (1 2 0); 33.83 deg, I 100, (1 2 1); 34.31 deg, I 24, (0 0 2); 51.50 deg, I 14, (4 1 0); 61.14 deg, I 18, (1 2 3); 63.35 deg, I 15, (4 1 2)

Crystal structure
Lattice parameters (Å, degrees): 9.3899 9.3899 5.2274 90.00 90.00 120.00
Space group P6_3/m (No. 176)
Inequivalent atoms, fractional coordinates:
Ce  0.3333  0.6667  0.2500
Dy  0.0025  0.7689  0.2500
In  0.0734  0.6193  0.7500